Record 1
This entry pairs a crystal structure of La5PmPrDy2 with its computed powder diffractogram. Radiation: Cu Kα, 1.54184 Å. Structure: DFT lattice parameters and positions (GGA-PBE).
Kinematic intensities with the Lorentz-polarization factor, no thermal factor.

Cell and atoms:
a = 8.113 Å, b = 8.113 Å, c = 10.043 Å
α = 90.00°, β = 90.00°, γ = 90.00°
Fractional positions:
La: 0.000 0.000 0.000
La: 0.201 0.299 0.261
La: 0.201 0.299 0.739
La: 0.299 0.799 0.261
La: 0.299 0.799 0.739
La: 0.500 0.500 0.000
La: 0.701 0.201 0.261
La: 0.701 0.201 0.739
La: 0.799 0.701 0.261
La: 0.799 0.701 0.739
Pm: 0.000 0.500 0.500
Pm: 0.500 0.000 0.500
Pr: 0.000 0.000 0.500
Pr: 0.500 0.500 0.500
Dy: 0.129 0.629 0.000
Dy: 0.371 0.129 0.000
Dy: 0.629 0.871 0.000
Dy: 0.871 0.371 0.000

Top 6 peaks for 10° ≤ 2θ ≤ 90°, by angle:
| 2θ (°) | intensity |
| --- | --- |
| 26.11 | 21 |
| 28.28 | 100 |
| 30.39 | 64 |
| 31.18 | 33 |
| 35.76 | 30 |
| 48.17 | 19 |


Record 2
This entry pairs a crystal structure of Tm4Mg4Pb7 with its computed powder diffractogram. Radiation: Cu Kα, 1.54184 Å. Structure: DFT lattice parameters and positions (GGA-PBE).
Kinematic intensities with the Lorentz-polarization factor, no thermal factor.

Cell and atoms:
a = 11.700 Å, b = 11.700 Å, c = 11.700 Å
α = 94.13°, β = 94.13°, γ = 148.87°
Fractional positions:
Tm: 0.000 0.187 0.187
Tm: 0.000 0.813 0.813
Tm: 0.187 0.000 0.187
Tm: 0.368 0.368 0.736
Tm: 0.368 0.632 0.000
Tm: 0.632 0.368 0.000
Tm: 0.632 0.632 0.264
Tm: 0.813 0.000 0.813
Mg: 0.094 0.594 0.189
Mg: 0.094 0.906 0.500
Mg: 0.406 0.594 0.500
Mg: 0.406 0.906 0.811
Mg: 0.594 0.094 0.189
Mg: 0.594 0.406 0.500
Mg: 0.906 0.094 0.500
Mg: 0.906 0.406 0.811
Pb: 0.000 0.405 0.405
Pb: 0.000 0.595 0.595
Pb: 0.193 0.193 0.385
Pb: 0.193 0.807 0.000
Pb: 0.228 0.500 0.728
Pb: 0.249 0.249 0.000
Pb: 0.405 0.000 0.405
Pb: 0.500 0.228 0.728
Pb: 0.500 0.772 0.272
Pb: 0.595 0.000 0.595
Pb: 0.751 0.751 0.000
Pb: 0.772 0.500 0.272
Pb: 0.807 0.193 0.000
Pb: 0.807 0.807 0.615

Top 6 peaks for 10° ≤ 2θ ≤ 90°, by angle:
| 2θ (°) | intensity |
| --- | --- |
| 28.43 | 28 |
| 31.47 | 100 |
| 33.63 | 31 |
| 46.19 | 16 |
| 46.80 | 16 |
| 52.28 | 25 |


Record 3
This entry pairs a crystal structure of PaZn2CdO6 with its computed powder diffractogram. Radiation: Cu Kα, 1.54184 Å. Structure: DFT lattice parameters and positions (GGA-PBE).
Kinematic intensities with the Lorentz-polarization factor, no thermal factor.

Cell and atoms:
a = 7.125 Å, b = 7.125 Å, c = 5.711 Å
α = 97.61°, β = 97.61°, γ = 87.41°
Fractional positions:
Pa: 0.220 0.780 0.750
Pa: 0.780 0.220 0.250
Zn: 0.105 0.281 0.813
Zn: 0.281 0.105 0.313
Zn: 0.719 0.895 0.687
Zn: 0.895 0.719 0.187
Cd: 0.410 0.590 0.250
Cd: 0.590 0.410 0.750
O: 0.057 0.213 0.124
O: 0.123 0.656 0.402
O: 0.213 0.057 0.624
O: 0.286 0.487 0.867
O: 0.344 0.877 0.098
O: 0.487 0.286 0.367
O: 0.513 0.714 0.633
O: 0.656 0.123 0.902
O: 0.714 0.513 0.133
O: 0.787 0.943 0.376
O: 0.877 0.344 0.598
O: 0.943 0.787 0.876

Top 6 peaks for 10° ≤ 2θ ≤ 90°, by angle:
| 2θ (°) | intensity |
| --- | --- |
| 17.51 | 75 |
| 25.23 | 52 |
| 28.09 | 51 |
| 31.62 | 55 |
| 31.88 | 58 |
| 32.00 | 100 |


Record 4
This entry pairs a crystal structure of Rb2Tl12Hg7 with its computed powder diffractogram. Radiation: Cu Kα, 1.54184 Å. Structure: DFT lattice parameters and positions (GGA-PBE).
Kinematic intensities with the Lorentz-polarization factor, no thermal factor.

Cell and atoms:
a = 14.799 Å, b = 14.799 Å, c = 3.454 Å
α = 90.00°, β = 90.00°, γ = 120.00°
Fractional positions:
Rb: 0.333 0.667 0.250
Rb: 0.667 0.333 0.750
Tl: 0.064 0.824 0.248
Tl: 0.077 0.619 0.746
Tl: 0.176 0.240 0.248
Tl: 0.240 0.064 0.752
Tl: 0.381 0.458 0.746
Tl: 0.458 0.077 0.254
Tl: 0.542 0.923 0.746
Tl: 0.619 0.542 0.254
Tl: 0.760 0.936 0.248
Tl: 0.824 0.760 0.752
Tl: 0.923 0.381 0.254
Tl: 0.936 0.176 0.752
Hg: 0.000 0.000 0.500
Hg: 0.138 0.424 0.753
Hg: 0.286 0.862 0.753
Hg: 0.424 0.286 0.247
Hg: 0.576 0.714 0.753
Hg: 0.714 0.138 0.247
Hg: 0.862 0.576 0.247

Top 6 peaks for 10° ≤ 2θ ≤ 90°, by angle:
| 2θ (°) | intensity |
| --- | --- |
| 31.82 | 70 |
| 32.00 | 100 |
| 45.75 | 21 |
| 56.92 | 26 |
| 57.04 | 16 |
| 63.28 | 25 |


Record 5
This entry pairs a crystal structure of LaDy2C with its computed powder diffractogram. Radiation: Cu Kα, 1.54184 Å. Structure: DFT lattice parameters and positions (GGA-PBE).
Kinematic intensities with the Lorentz-polarization factor, no thermal factor.

Cell and atoms:
a = 3.604 Å, b = 3.604 Å, c = 9.374 Å
α = 90.00°, β = 90.00°, γ = 120.00°
Fractional positions:
La: 0.000 0.000 0.000
Dy: 0.333 0.667 0.644
Dy: 0.667 0.333 0.356
C: 0.000 0.000 0.500

Top 6 peaks for 10° ≤ 2θ ≤ 90°, by angle:
| 2θ (°) | intensity |
| --- | --- |
| 28.57 | 34 |
| 30.18 | 100 |
| 34.53 | 77 |
| 48.58 | 29 |
| 50.66 | 26 |
| 59.19 | 30 |


Record 6
This entry pairs a crystal structure of CaBe2Zn4 with its computed powder diffractogram. Radiation: Cu Kα, 1.54184 Å. Structure: DFT lattice parameters and positions (GGA-PBE).
Kinematic intensities with the Lorentz-polarization factor, no thermal factor.

Cell and atoms:
a = 5.122 Å, b = 5.122 Å, c = 12.557 Å
α = 90.00°, β = 90.00°, γ = 90.00°
Fractional positions:
Ca: 0.000 0.000 0.000
Ca: 0.500 0.500 0.500
Be: 0.000 0.000 0.420
Be: 0.000 0.000 0.580
Be: 0.500 0.500 0.080
Be: 0.500 0.500 0.920
Zn: 0.000 0.000 0.239
Zn: 0.000 0.000 0.761
Zn: 0.000 0.500 0.000
Zn: 0.000 0.500 0.500
Zn: 0.500 0.000 0.000
Zn: 0.500 0.000 0.500
Zn: 0.500 0.500 0.261
Zn: 0.500 0.500 0.739

Top 6 peaks for 10° ≤ 2θ ≤ 90°, by angle:
| 2θ (°) | intensity |
| --- | --- |
| 28.45 | 100 |
| 35.04 | 41 |
| 45.72 | 33 |
| 50.38 | 29 |
| 58.88 | 35 |
| 81.10 | 16 |


Record 7
This entry pairs a crystal structure of Sr2BPN with its computed powder diffractogram. Radiation: Cu Kα, 1.54184 Å. Structure: DFT lattice parameters and positions (GGA-PBE).
Kinematic intensities with the Lorentz-polarization factor, no thermal factor.

Cell and atoms:
a = 6.271 Å, b = 3.647 Å, c = 8.717 Å
α = 90.00°, β = 109.91°, γ = 90.00°
Fractional positions:
Sr: 0.215 0.250 0.395
Sr: 0.225 0.250 0.965
Sr: 0.775 0.750 0.035
Sr: 0.785 0.750 0.605
B: 0.443 0.750 0.240
B: 0.557 0.250 0.760
P: 0.360 0.750 0.711
P: 0.640 0.250 0.289
N: 0.202 0.750 0.175
N: 0.798 0.250 0.825

Top 6 peaks for 10° ≤ 2θ ≤ 90°, by angle:
| 2θ (°) | intensity |
| --- | --- |
| 28.78 | 87 |
| 30.32 | 66 |
| 30.51 | 41 |
| 30.74 | 45 |
| 32.86 | 100 |
| 32.95 | 78 |


Record 8
This entry pairs a crystal structure of Ca3Ge3Rh2 with its computed powder diffractogram. Radiation: Cu Kα, 1.54184 Å. Structure: DFT lattice parameters and positions (GGA-PBE).
Kinematic intensities with the Lorentz-polarization factor, no thermal factor.

Cell and atoms:
a = 8.143 Å, b = 14.584 Å, c = 5.826 Å
α = 90.00°, β = 90.00°, γ = 90.00°
Fractional positions:
Ca: 0.046 0.113 0.122
Ca: 0.046 0.387 0.122
Ca: 0.193 0.250 0.617
Ca: 0.307 0.750 0.117
Ca: 0.454 0.613 0.622
Ca: 0.454 0.887 0.622
Ca: 0.546 0.113 0.378
Ca: 0.546 0.387 0.378
Ca: 0.693 0.250 0.883
Ca: 0.807 0.750 0.383
Ca: 0.954 0.613 0.878
Ca: 0.954 0.887 0.878
Ge: 0.151 0.750 0.587
Ge: 0.192 0.044 0.629
Ge: 0.192 0.456 0.629
Ge: 0.308 0.544 0.129
Ge: 0.308 0.956 0.129
Ge: 0.349 0.250 0.087
Ge: 0.651 0.750 0.913
Ge: 0.692 0.044 0.871
Ge: 0.692 0.456 0.871
Ge: 0.808 0.544 0.371
Ge: 0.808 0.956 0.371
Ge: 0.849 0.250 0.413
Rh: 0.094 0.590 0.399
Rh: 0.094 0.910 0.399
Rh: 0.406 0.090 0.899
Rh: 0.406 0.410 0.899
Rh: 0.594 0.590 0.101
Rh: 0.594 0.910 0.101
Rh: 0.906 0.090 0.601
Rh: 0.906 0.410 0.601

Top 6 peaks for 10° ≤ 2θ ≤ 90°, by angle:
| 2θ (°) | intensity |
| --- | --- |
| 12.14 | 56 |
| 18.73 | 93 |
| 36.51 | 85 |
| 37.01 | 74 |
| 37.66 | 100 |
| 41.15 | 76 |


Repeat the fifth record exactly.
This entry pairs a crystal structure of LaDy2C with its computed powder diffractogram. Radiation: Cu Kα, 1.54184 Å. Structure: DFT lattice parameters and positions (GGA-PBE).
Kinematic intensities with the Lorentz-polarization factor, no thermal factor.

Cell and atoms:
a = 3.604 Å, b = 3.604 Å, c = 9.374 Å
α = 90.00°, β = 90.00°, γ = 120.00°
Fractional positions:
La: 0.000 0.000 0.000
Dy: 0.333 0.667 0.644
Dy: 0.667 0.333 0.356
C: 0.000 0.000 0.500

Top 6 peaks for 10° ≤ 2θ ≤ 90°, by angle:
| 2θ (°) | intensity |
| --- | --- |
| 28.57 | 34 |
| 30.18 | 100 |
| 34.53 | 77 |
| 48.58 | 29 |
| 50.66 | 26 |
| 59.19 | 30 |